Diffraction record for AlGaCoSe4. The PXRD pattern is calculated, not measured: it uses a cell relaxed with GGA-PBE and Cu Kα (weighted mean of Kα1 and Kα2).

```
data_AlGaCoSe4
_chemical_formula_sum 'Al4 Ga4 Co4 Se16'
_space_group_name_H-M_alt 'P 41 2 2'
_space_group_IT_number 91
_space_group_name_Hall 'P 4w 2c'
_cell_length_a 7.521
_cell_length_b 7.521
_cell_length_c 10.551
_cell_angle_alpha 90.00
_cell_angle_beta 90.00
_cell_angle_gamma 90.00
loop_
_atom_site_label
_atom_site_type_symbol
_atom_site_fract_x
_atom_site_fract_y
_atom_site_fract_z
_atom_site_occupancy
Al1 Al 0.000 0.247 0.000 1
Ga1 Ga 0.247 0.500 0.750 1
Co1 Co 0.252 0.252 0.375 1
Se1 Se 0.010 0.246 0.757 1
Se2 Se 0.246 0.485 0.997 1
```

Top 6 peaks for 5° ≤ 2θ ≤ 70°, in order of rising 2θ:
| 2θ (°) | I_rel | hkl |
| --- | --- | --- |
| 27.8 | 32 | 2 1 1 |
| 29.2 | 87 | 2 0 2 |
| 33.7 | 80 | 2 2 0 |
| 34.0 | 39 | 0 0 4 |
| 48.4 | 50 | 4 0 0 |
| 48.6 | 100 | 2 2 4 |